# Ca6Sb2AsO
Theoretical XRD peak list, Cu Kα (λ = 1.5418 Å). Input: DFT lattice parameters and positions (GGA-PBE).
Neutral-atom scattering factors, no anomalous dispersion.

Most intense lines, 5° ≤ 2θ ≤ 70°, in order of falling intensity:
| d (Å) | I (rel.) | (hkl) |
| --- | --- | --- |
| 3.006 | 100 | 1 1 2 |
| 2.644 | 80 | 2 0 0 |
| 3.654 | 66 | 1 0 2 |
| 1.827 | 42 | 2 0 4 |
| 3.739 | 36 | 1 1 0 |
| 2.142 | 31 | 2 1 2 |
| 2.528 | 29 | 0 0 4 |
| 1.869 | 27 | 2 2 0 |
| 1.587 | 27 | 3 1 2 |
| 1.503 | 21 | 2 2 4 |

Structural model:
Lattice parameters (Å, degrees): 5.2873 5.2873 10.1123 90.00 90.00 90.00
Space group P4/mmm (No. 123)
Symmetry-distinct sites (fractional):
Ca 0.0000 0.0000 0.2238 x2
Ca 0.0000 0.5000 0.0000 x2
Ca 0.0000 0.5000 0.5000 x2
Sb 0.5000 0.5000 0.2284 x2
As 0.0000 0.0000 0.5000 x1
O 0.0000 0.0000 0.0000 x1